[1]
Computed powder diffraction line list
Compound: CaGe2IrPd
Radiation: Cu Kα (weighted mean of Kα1 and Kα2)
Structure: a structure optimized by DFT (GGA-PBE)
No peak broadening, texture or thermal motion is included.

Peak list (6 most intense, 2θ from 10° to 90°, by angle)
hkl	d (Å)	2θ/deg	Rel. int.
0 0 2	5.300	16.73	75.3
1 0 1	3.902	22.79	25.3
1 0 3	2.703	33.14	24.9
1 1 2	2.589	34.64	100.0
2 0 0	2.098	43.11	54.3
1 1 4	1.977	45.91	62.6

Structure:
```
data_CaGe2IrPd
_chemical_formula_sum 'Ca2 Ge4 Ir2 Pd2'
_space_group_name_H-M_alt 'I -4 m 2'
_space_group_IT_number 119
_space_group_name_Hall 'I -4 -2'
_cell_length_a 4.197
_cell_length_b 4.197
_cell_length_c 10.600
_cell_angle_alpha 90.00
_cell_angle_beta 90.00
_cell_angle_gamma 90.00
loop_
_atom_site_label
_atom_site_type_symbol
_atom_site_fract_x
_atom_site_fract_y
_atom_site_fract_z
Ca1 Ca 0.000 0.000 0.000
Ge1 Ge 0.000 0.000 0.379
Ir1 Ir 0.000 0.500 0.750
Pd1 Pd 0.000 0.500 0.250
```

---

[2]
Computed powder diffraction line list
Compound: Pb8W
Radiation: Cu Kα (weighted mean of Kα1 and Kα2)
Structure: a structure optimized by DFT (GGA-PBE)
No peak broadening, texture or thermal motion is included.

Peak list (6 most intense, 2θ from 10° to 90°, by angle)
hkl	d (Å)	2θ/deg	Rel. int.
3 0 1	2.809	31.86	100.0
3 3 0	2.496	35.98	34.2
0 0 2	2.319	38.83	15.8
3 3 2	1.699	53.97	21.9
6 3 1	1.494	62.12	23.8
3 0 3	1.416	65.96	12.9

Structure:
```
data_Pb8W
_chemical_formula_sum 'Pb16 W2'
_space_group_name_H-M_alt 'I 4/m m m'
_space_group_IT_number 139
_space_group_name_Hall '-I 4 2'
_cell_length_a 10.589
_cell_length_b 10.589
_cell_length_c 4.639
_cell_angle_alpha 90.00
_cell_angle_beta 90.00
_cell_angle_gamma 90.00
loop_
_atom_site_label
_atom_site_type_symbol
_atom_site_fract_x
_atom_site_fract_y
_atom_site_fract_z
Pb1 Pb 0.000 0.314 0.000
Pb2 Pb 0.152 0.152 0.500
W1 W 0.000 0.000 0.000
```

---

[3]
Computed powder diffraction line list
Compound: Pa11Ga9Co4
Radiation: Cu Kα (weighted mean of Kα1 and Kα2)
Structure: a structure optimized by DFT (GGA-PBE)
No peak broadening, texture or thermal motion is included.

Peak list (6 most intense, 2θ from 10° to 90°, by angle)
hkl	d (Å)	2θ/deg	Rel. int.
0 0 1	3.972	22.38	26.5
0 6 1	2.483	36.17	100.0
3 5 1	2.309	39.00	16.1
4 6 0	2.249	40.08	29.2
0 0 2	1.986	45.68	21.4
4 6 2	1.489	62.38	19.3

Structure:
```
data_Pa11Ga9Co4
_chemical_formula_sum 'Pa22 Ga18 Co8'
_space_group_name_H-M_alt 'C m m m'
_space_group_IT_number 65
_space_group_name_Hall '-C 2 2'
_cell_length_a 12.752
_cell_length_b 19.047
_cell_length_c 3.972
_cell_angle_alpha 90.00
_cell_angle_beta 90.00
_cell_angle_gamma 90.00
loop_
_atom_site_label
_atom_site_type_symbol
_atom_site_fract_x
_atom_site_fract_y
_atom_site_fract_z
Pa1 Pa 0.000 0.000 0.000
Pa2 Pa 0.000 0.161 0.000
Pa3 Pa 0.000 0.370 0.000
Pa4 Pa 0.195 0.500 0.000
Pa5 Pa 0.244 0.172 0.000
Ga1 Ga 0.000 0.500 0.500
Ga2 Ga 0.106 0.262 0.500
Ga3 Ga 0.143 0.073 0.500
Co1 Co 0.152 0.400 0.500
```

---

[4]
Computed powder diffraction line list
Compound: Tl8SiTe6
Radiation: Cu Kα (weighted mean of Kα1 and Kα2)
Structure: a structure optimized by DFT (GGA-PBE)
No peak broadening, texture or thermal motion is included.

Peak list (6 most intense, 2θ from 10° to 90°, by angle)
hkl	d (Å)	2θ/deg	Rel. int.
2 0 2	3.622	24.58	82.9
0 3 1	3.299	27.03	48.2
0 0 4	2.976	30.03	76.3
2 2 2	2.963	30.16	54.1
2 1 3	2.876	31.09	100.0
2 3 2	2.493	36.03	75.7

Structure:
```
data_Tl8SiTe6
_chemical_formula_sum 'Tl16 Si2 Te12'
_space_group_name_H-M_alt 'P m n 21'
_space_group_IT_number 31
_cell_length_a 9.124
_cell_length_b 10.301
_cell_length_c 11.916
_cell_angle_alpha 90.00
_cell_angle_beta 90.00
_cell_angle_gamma 90.00
loop_
_space_group_symop_operation_xyz
'x,y,z'
'-x+1/2,-y,z+1/2'
'-x,y,z'
'x+1/2,-y,z+1/2'
loop_
_atom_site_label
_atom_site_type_symbol
_atom_site_fract_x
_atom_site_fract_y
_atom_site_fract_z
Tl1 Tl 0.000 0.140 0.000
Tl2 Tl 0.000 0.289 0.378
Tl3 Tl 0.197 0.529 0.788
Tl4 Tl 0.218 0.680 0.061
Tl5 Tl 0.249 0.096 0.226
Si1 Si 0.000 0.795 0.437
Te1 Te 0.000 0.001 0.554
Te2 Te 0.000 0.449 0.130
Te3 Te 0.000 0.583 0.548
Te4 Te 0.000 0.828 0.900
Te5 Te 0.231 0.798 0.315
```

---

[5]
Computed powder diffraction line list
Compound: Nb4Te3Se
Radiation: Cu Kα (weighted mean of Kα1 and Kα2)
Structure: a structure optimized by DFT (GGA-PBE)
No peak broadening, texture or thermal motion is included.

Peak list (6 most intense, 2θ from 10° to 90°, by angle)
hkl	d (Å)	2θ/deg	Rel. int.
0 0 2	2.649	33.84	31.6
1 2 1	2.602	34.47	32.6
4 0 0	2.549	35.21	78.7
2 2 1	2.380	37.80	100.0
2 0 2	2.350	38.29	82.3
2 4 1	1.437	64.88	36.3

Structure:
```
data_Nb4Te3Se
_chemical_formula_sum 'Nb8 Te6 Se2'
_space_group_name_H-M_alt 'P m n 21'
_space_group_IT_number 31
_cell_length_a 10.196
_cell_length_b 6.248
_cell_length_c 5.297
_cell_angle_alpha 90.00
_cell_angle_beta 90.00
_cell_angle_gamma 90.00
loop_
_space_group_symop_operation_xyz
'x,y,z'
'-x+1/2,-y,z+1/2'
'-x,y,z'
'x+1/2,-y,z+1/2'
loop_
_atom_site_label
_atom_site_type_symbol
_atom_site_fract_x
_atom_site_fract_y
_atom_site_fract_z
Nb1 Nb 0.000 0.067 0.000
Nb2 Nb 0.000 0.359 0.485
Nb3 Nb 0.231 0.339 0.822
Te1 Te 0.000 0.807 0.447
Te2 Te 0.243 0.185 0.326
Se1 Se 0.000 0.471 0.971
```

---

[6]
Computed powder diffraction line list
Compound: ZnBH
Radiation: Cu Kα (weighted mean of Kα1 and Kα2)
Structure: a structure optimized by DFT (GGA-PBE)
No peak broadening, texture or thermal motion is included.

Peak list (6 most intense, 2θ from 10° to 90°, by angle)
hkl	d (Å)	2θ/deg	Rel. int.
0 0 1	6.029	14.69	100.0
0 1 1	3.113	28.67	32.6
1 0 -1	2.559	35.07	27.0
1 1 0	2.342	38.43	25.9
1 -1 0	2.238	40.30	22.5
0 1 -2	2.200	41.03	25.1

Structure:
```
data_ZnBH
_chemical_formula_sum 'Zn2 B2 H2'
_space_group_name_H-M_alt 'P -1'
_space_group_IT_number 2
_cell_length_a 3.080
_cell_length_b 3.494
_cell_length_c 6.123
_cell_angle_alpha 85.32
_cell_angle_beta 80.86
_cell_angle_gamma 86.67
loop_
_space_group_symop_operation_xyz
'x,y,z'
'-x,-y,-z'
loop_
_atom_site_label
_atom_site_type_symbol
_atom_site_fract_x
_atom_site_fract_y
_atom_site_fract_z
Zn1 Zn 0.205 0.247 0.112
B1 B 0.259 0.034 0.449
H1 H 0.451 0.254 0.568
```

---

[7]
Computed powder diffraction line list
Compound: DyHo12Tm6
Radiation: Cu Kα (weighted mean of Kα1 and Kα2)
Structure: a structure optimized by DFT (GGA-PBE)
No peak broadening, texture or thermal motion is included.

Peak list (6 most intense, 2θ from 10° to 90°, by angle)
hkl	d (Å)	2θ/deg	Rel. int.
0 1 5	2.886	30.99	42.4
0 3 3	2.805	31.90	23.3
1 3 1	2.767	32.35	100.0
3 -1 4	2.686	33.36	68.9
4 -1 2	2.637	34.00	27.4
2 2 3	2.530	35.48	17.6

Structure:
```
data_DyHo12Tm6
_chemical_formula_sum 'Dy3 Ho36 Tm18'
_space_group_name_H-M_alt 'R -3'
_space_group_IT_number 148
_space_group_name_Hall '-R 3'
_cell_length_a 11.7211
_cell_length_b 11.7211
_cell_length_c 15.0493
_cell_angle_alpha 90.00
_cell_angle_beta 90.00
_cell_angle_gamma 120.00
loop_
_atom_site_label
_atom_site_type_symbol
_atom_site_fract_x
_atom_site_fract_y
_atom_site_fract_z
Dy1 Dy 0.0000 0.0000 0.0000
Ho1 Ho 0.0148 0.8337 0.1912
Ho2 Ho 0.0415 0.8507 0.4156
Tm1 Tm 0.0107 0.4240 0.6802
```

---

[8]
Computed powder diffraction line list
Compound: Ta3Ni2N
Radiation: Cu Kα (weighted mean of Kα1 and Kα2)
Structure: a structure optimized by DFT (GGA-PBE)
No peak broadening, texture or thermal motion is included.

Peak list (6 most intense, 2θ from 10° to 90°, by angle)
hkl	d (Å)	2θ/deg	Rel. int.
2 1 0	3.065	29.14	17.0
2 2 1	2.284	39.45	100.0
3 1 0	2.167	41.68	59.2
3 1 1	2.066	43.82	22.2
4 3 1	1.344	70.01	21.8
5 2 0	1.272	74.58	20.4

Structure:
```
data_Ta3Ni2N
_chemical_formula_sum 'Ta12 Ni8 N4'
_space_group_name_H-M_alt 'P 41 3 2'
_space_group_IT_number 213
_space_group_name_Hall 'P 4bd 2ab 3'
_cell_length_a 6.853
_cell_length_b 6.853
_cell_length_c 6.853
_cell_angle_alpha 90.00
_cell_angle_beta 90.00
_cell_angle_gamma 90.00
loop_
_atom_site_label
_atom_site_type_symbol
_atom_site_fract_x
_atom_site_fract_y
_atom_site_fract_z
Ta1 Ta 0.046 0.125 0.796
Ni1 Ni 0.069 0.931 0.431
N1 N 0.125 0.375 0.625
```